For Ta3Nb2H8, DFT lattice parameters and positions (GGA-PBE) gives the simulated powder XRD pattern in this record (a wavelength of 1.5418 Å).
Lines closer than 0.1° are merged.

Most intense lines, 10° ≤ 2θ ≤ 90°, low angle first:
- 2θ 18.01, rel. 100, hkl 1 0 -1
- 2θ 30.76, rel. 28, hkl 1 0 2
- 2θ 35.50, rel. 41, hkl 1 1 0
- 2θ 35.77, rel. 69, hkl 2 0 1
- 2θ 35.99, rel. 76, hkl 0 0 3
- 2θ 36.49, rel. 78, hkl 2 0 -2
- 2θ 36.65, rel. 41, hkl 1 1 -1
- 2θ 38.41, rel. 91, hkl 1 1 1
- 2θ 41.58, rel. 41, hkl 1 1 -2
- 2θ 49.35, rel. 37, hkl 1 1 -3
- 2θ 58.42, rel. 33, hkl 3 1 -1
- 2θ 64.06, rel. 41, hkl 1 1 4

Cell and atoms:
```
data_Ta3Nb2H8
_cell_length_a 5.735
_cell_length_b 2.828
_cell_length_c 7.594
_cell_angle_alpha 90.00
_cell_angle_beta 99.60
_cell_angle_gamma 90.00
_symmetry_space_group_name_H-M 'P 1'
_symmetry_Int_Tables_number 1
loop_
_symmetry_equiv_pos_as_xyz
'x,y,z'
loop_
_atom_site_label
_atom_site_type_symbol
_atom_site_fract_x
_atom_site_fract_y
_atom_site_fract_z
_atom_site_occupancy
Ta1 Ta 0.000 0.000 0.000 1
Ta2 Ta 0.302 0.500 0.316 1
Ta3 Ta 0.698 0.500 0.684 1
Nb1 Nb 0.202 0.000 0.689 1
Nb2 Nb 0.798 0.000 0.311 1
H1 H 0.136 0.000 0.422 1
H2 H 0.216 0.500 0.903 1
H3 H 0.363 0.500 0.576 1
H4 H 0.450 0.000 0.187 1
H5 H 0.550 0.000 0.813 1
H6 H 0.637 0.500 0.424 1
H7 H 0.784 0.500 0.097 1
H8 H 0.864 0.000 0.578 1
```